Cd5SnHg3: calculated powder X-ray diffraction pattern (Cu Kα, 1.54184 Å), based on a crystal structure in Alexandria, relaxed with PBE.
Peak positions follow from Bragg's law for the DFT cell and can differ from measured ones.

Structural model:
```
data_Cd5SnHg3
_chemical_formula_sum 'Cd10 Sn2 Hg6'
_space_group_name_H-M_alt 'P -1'
_space_group_IT_number 2
_cell_length_a 7.2880
_cell_length_b 7.7805
_cell_length_c 9.3650
_cell_angle_alpha 114.14
_cell_angle_beta 111.20
_cell_angle_gamma 90.20
loop_
_space_group_symop_operation_xyz
'x,y,z'
'-x,-y,-z'
loop_
_atom_site_label
_atom_site_fract_x
_atom_site_fract_y
_atom_site_fract_z
Cd1 0.0422 0.1649 0.1969
Cd2 0.3045 0.8450 0.1363
Cd3 0.3161 0.8403 0.6487
Cd4 0.3490 0.1434 0.0119
Cd5 0.3760 0.1587 0.5323
Sn1 0.0253 0.1558 0.6895
Hg1 0.0000 0.5000 0.5000
Hg2 0.1759 0.4990 0.1613
Hg3 0.3421 0.5118 0.8338
Hg4 0.5000 0.5000 0.5000
```

Peak list (8 most intense, 2θ = 10–80°, sorted by position)
30.68 deg, intensity 19, (1 0 2); 30.81 deg, intensity 18, (0 1 -3); 31.01 deg, intensity 17, (1 -2 2); 32.45 deg, intensity 100, (-2 1 2); 33.05 deg, intensity 23, (2 0 1); 33.78 deg, intensity 71, (2 2 -2); 38.66 deg, intensity 48, (0 3 0); 38.84 deg, intensity 21, (1 1 -4)

***

VRuSe2: calculated powder X-ray diffraction pattern (Cu Kα, 1.54184 Å), based on a crystal structure in Alexandria, relaxed with PBE.
Peak positions follow from Bragg's law for the DFT cell and can differ from measured ones.

Structural model:
```
data_VRuSe2
_chemical_formula_sum 'V2 Ru2 Se4'
_space_group_name_H-M_alt 'P 1'
_space_group_IT_number 1
_cell_length_a 4.3278
_cell_length_b 5.9467
_cell_length_c 7.6216
_cell_angle_alpha 73.55
_cell_angle_beta 74.58
_cell_angle_gamma 89.28
loop_
_space_group_symop_operation_xyz
'x,y,z'
loop_
_atom_site_label
_atom_site_fract_x
_atom_site_fract_y
_atom_site_fract_z
V1 0.0000 0.0000 0.0000
V2 0.4686 0.2898 0.0783
Ru1 0.0730 0.5090 0.0012
Ru2 0.5311 0.7858 0.0936
Se1 0.1255 0.9490 0.3042
Se2 0.4129 0.8580 0.7817
Se3 0.6404 0.4228 0.3103
Se4 0.9030 0.3545 0.7762
```

Peak list (8 most intense, 2θ = 10–80°, sorted by position)
12.59 deg, intensity 100, (0 0 1); 29.25 deg, intensity 24, (-1 1 1); 29.47 deg, intensity 26, (1 1 2); 31.44 deg, intensity 17, (0 2 0); 42.25 deg, intensity 15, (0 2 3); 48.92 deg, intensity 13, (2 0 -1); 50.02 deg, intensity 11, (2 0 3); 52.68 deg, intensity 13, (0 2 4)

***

PmDy2MgRh4: calculated powder X-ray diffraction pattern (Cu Kα, 1.54184 Å), based on a crystal structure in Alexandria, relaxed with PBE.
Peak positions follow from Bragg's law for the DFT cell and can differ from measured ones.

Structural model:
```
data_PmDy2MgRh4
_chemical_formula_sum 'Pm3 Dy6 Mg3 Rh12'
_space_group_name_H-M_alt 'R -3 m'
_space_group_IT_number 166
_space_group_name_Hall '-R 3 2"'
_cell_length_a 4.7704
_cell_length_b 4.7704
_cell_length_c 23.5493
_cell_angle_alpha 90.00
_cell_angle_beta 90.00
_cell_angle_gamma 120.00
loop_
_atom_site_label
_atom_site_fract_x
_atom_site_fract_y
_atom_site_fract_z
Pm1 0.0000 0.0000 0.0000
Dy1 0.0000 0.0000 0.2435
Mg1 0.0000 0.0000 0.5000
Rh1 0.0000 0.0000 0.1256
Rh2 0.0000 0.0000 0.3781
```

Peak list (8 most intense, 2θ = 10–80°, sorted by position)
22.81 deg, intensity 8, (0 1 2); 28.74 deg, intensity 10, (0 1 5); 37.52 deg, intensity 97, (0 1 8); 37.71 deg, intensity 100, (1 1 0); 54.25 deg, intensity 33, (2 0 8); 67.56 deg, intensity 15, (1 0 16); 67.96 deg, intensity 33, (1 2 8); 68.09 deg, intensity 17, (3 0 0)

***

ReIrRh2: calculated powder X-ray diffraction pattern (Cu Kα, 1.54184 Å), based on a crystal structure in Alexandria, relaxed with PBE.
Peak positions follow from Bragg's law for the DFT cell and can differ from measured ones.

Structural model:
```
data_ReIrRh2
_chemical_formula_sum 'Re2 Ir2 Rh4'
_space_group_name_H-M_alt 'C 1 2/m 1'
_space_group_IT_number 12
_cell_length_a 9.0830
_cell_length_b 2.7256
_cell_length_c 4.7296
_cell_angle_alpha 90.00
_cell_angle_beta 100.01
_cell_angle_gamma 90.00
loop_
_space_group_symop_operation_xyz
'x,y,z'
'-x,-y,-z'
'-x,y,-z'
'x,-y,z'
'x+1/2,y+1/2,z'
'-x+1/2,-y+1/2,-z'
'-x+1/2,y+1/2,-z'
'x+1/2,-y+1/2,z'
loop_
_atom_site_label
_atom_site_fract_x
_atom_site_fract_y
_atom_site_fract_z
Re1 0.0000 0.0000 0.0000
Ir1 0.0000 0.5000 0.5000
Rh1 0.2491 0.5000 0.2471
```

Peak list (8 most intense, 2θ = 10–80°, sorted by position)
19.85 deg, intensity 14, (2 0 0); 38.70 deg, intensity 9, (0 0 2); 40.33 deg, intensity 34, (4 0 0); 40.48 deg, intensity 100, (1 1 1); 47.05 deg, intensity 65, (2 0 2); 68.62 deg, intensity 21, (5 1 1); 68.79 deg, intensity 14, (1 1 -3); 68.90 deg, intensity 7, (0 2 0)

***

Sm3Mg7Pd4: calculated powder X-ray diffraction pattern (Cu Kα, 1.54184 Å), based on a crystal structure in Alexandria, relaxed with PBE.
Peak positions follow from Bragg's law for the DFT cell and can differ from measured ones.

Structural model:
```
data_Sm3Mg7Pd4
_chemical_formula_sum 'Sm6 Mg14 Pd8'
_space_group_name_H-M_alt 'C 1 2/m 1'
_space_group_IT_number 12
_cell_length_a 16.1033
_cell_length_b 4.3997
_cell_length_c 10.4458
_cell_angle_alpha 90.00
_cell_angle_beta 123.97
_cell_angle_gamma 90.00
loop_
_space_group_symop_operation_xyz
'x,y,z'
'-x,-y,-z'
'-x,y,-z'
'x,-y,z'
'x+1/2,y+1/2,z'
'-x+1/2,-y+1/2,-z'
'-x+1/2,y+1/2,-z'
'x+1/2,-y+1/2,z'
loop_
_atom_site_label
_atom_site_fract_x
_atom_site_fract_y
_atom_site_fract_z
Sm1 0.0000 0.0000 0.0000
Sm2 0.1957 0.5000 0.7117
Mg1 0.0000 0.0000 0.5000
Mg2 0.0139 0.5000 0.2985
Mg3 0.1673 0.0000 0.4300
Mg4 0.1794 0.5000 0.0141
Pd1 0.1088 0.0000 0.8226
Pd2 0.1650 0.5000 0.2618
```

Peak list (8 most intense, 2θ = 10–80°, sorted by position)
20.50 deg, intensity 32, (0 0 2); 28.52 deg, intensity 44, (3 1 0); 32.26 deg, intensity 41, (1 1 2); 32.92 deg, intensity 50, (3 1 -3); 34.07 deg, intensity 24, (3 1 1); 34.55 deg, intensity 100, (5 1 -2); 40.27 deg, intensity 30, (3 1 -4); 41.02 deg, intensity 42, (0 2 0)

***

K2In3Pb: calculated powder X-ray diffraction pattern (Cu Kα, 1.54184 Å), based on a crystal structure in Alexandria, relaxed with PBE.
Peak positions follow from Bragg's law for the DFT cell and can differ from measured ones.

Structural model:
```
data_K2In3Pb
_chemical_formula_sum 'K4 In6 Pb2'
_space_group_name_H-M_alt 'C 1 m 1'
_space_group_IT_number 8
_cell_length_a 12.4562
_cell_length_b 5.1474
_cell_length_c 8.7634
_cell_angle_alpha 90.00
_cell_angle_beta 134.21
_cell_angle_gamma 90.00
loop_
_space_group_symop_operation_xyz
'x,y,z'
'x,-y,z'
'x+1/2,y+1/2,z'
'x+1/2,-y+1/2,z'
loop_
_atom_site_label
_atom_site_fract_x
_atom_site_fract_y
_atom_site_fract_z
K1 0.0000 0.0000 0.0000
K2 0.1385 0.0000 0.6407
In1 0.2209 0.5000 0.3979
In2 0.2356 0.5000 0.0671
In3 0.4092 0.0000 0.2322
Pb1 0.4146 0.0000 0.5967
```

Peak list (8 most intense, 2θ = 10–80°, sorted by position)
14.22 deg, intensity 36, (2 0 -1); 19.90 deg, intensity 56, (1 1 0); 28.29 deg, intensity 37, (1 1 1); 28.44 deg, intensity 50, (3 1 -1); 28.63 deg, intensity 36, (3 1 -2); 32.33 deg, intensity 29, (4 0 -3); 34.84 deg, intensity 100, (0 2 0); 40.71 deg, intensity 33, (1 1 -3)

***

What is the formula in the third record?
PmDy2MgRh4